Diffraction record for BaNa2Pa2O7. The powder XRD pattern is simulated, not measured: it uses a DFT-relaxed cell (GGA-PBE, Alexandria) and λ = 1.5418 Å (Cu Kα).

Most intense lines, 2θ from 15° to 90°, by angle:
| 2θ (°) | intensity |
| --- | --- |
| 17.17 | 20 |
| 20.54 | 55 |
| 23.92 | 75 |
| 28.55 | 54 |
| 29.59 | 100 |
| 29.86 | 21 |
| 40.82 | 44 |
| 47.86 | 23 |
| 51.22 | 46 |
| 53.14 | 23 |

Atomic structure:
Unit cell a=10.791 b=10.791 c=10.791 alpha=156.36 beta=156.36 gamma=33.68
Fractional coordinates of all 12 atoms:
1 Ba 0.000 0.000 0.000
2 Na 0.250 0.750 0.500
3 Na 0.750 0.250 0.500
4 Pa 0.392 0.392 0.000
5 Pa 0.608 0.608 0.000
6 O 0.097 0.597 0.500
7 O 0.292 0.292 0.000
8 O 0.404 0.904 0.500
9 O 0.500 0.500 0.000
10 O 0.596 0.096 0.500
11 O 0.708 0.708 0.000
12 O 0.903 0.403 0.500

Diffraction record for Sc4InPd2Rh. The powder XRD pattern is simulated, not measured: it uses a DFT-relaxed cell (GGA-PBE, Alexandria) and λ = 1.5418 Å (Cu Kα).

Most intense lines, 2θ from 15° to 90°, by angle:
| 2θ (°) | intensity |
| --- | --- |
| 26.55 | 24 |
| 34.72 | 3 |
| 37.90 | 100 |
| 46.87 | 7 |
| 54.67 | 16 |
| 61.78 | 10 |
| 68.44 | 30 |
| 72.89 | 2 |
| 80.99 | 9 |
| 87.06 | 4 |

Atomic structure:
Unit cell a=8.220 b=8.220 c=8.220 alpha=33.59 beta=33.59 gamma=33.59
Fractional coordinates of all 8 atoms:
1 Sc 0.116 0.116 0.116
2 Sc 0.368 0.368 0.368
3 Sc 0.632 0.632 0.632
4 Sc 0.884 0.884 0.884
5 In 0.500 0.500 0.500
6 Pd 0.245 0.245 0.245
7 Pd 0.755 0.755 0.755
8 Rh 0.000 0.000 0.000

Diffraction record for NaTl4Sb. The powder XRD pattern is simulated, not measured: it uses a DFT-relaxed cell (GGA-PBE, Alexandria) and λ = 1.5418 Å (Cu Kα).

Most intense lines, 2θ from 15° to 90°, by angle:
| 2θ (°) | intensity |
| --- | --- |
| 31.54 | 100 |
| 34.30 | 20 |
| 37.23 | 16 |
| 38.11 | 15 |
| 51.52 | 13 |
| 52.20 | 12 |
| 59.71 | 16 |
| 63.59 | 14 |
| 64.79 | 12 |
| 65.85 | 12 |

Atomic structure:
Unit cell a=7.484 b=7.484 c=10.457 alpha=90.00 beta=90.00 gamma=142.35
Fractional coordinates of all 12 atoms:
1 Na 0.168 0.832 0.500
2 Na 0.832 0.168 0.000
3 Tl 0.009 0.991 0.250
4 Tl 0.171 0.829 0.998
5 Tl 0.330 0.670 0.248
6 Tl 0.500 0.500 0.004
7 Tl 0.500 0.500 0.504
8 Tl 0.670 0.330 0.748
9 Tl 0.829 0.171 0.498
10 Tl 0.991 0.009 0.750
11 Sb 0.328 0.672 0.754
12 Sb 0.672 0.328 0.254

Diffraction record for AcLa3Tb8. The powder XRD pattern is simulated, not measured: it uses a DFT-relaxed cell (GGA-PBE, Alexandria) and λ = 1.5418 Å (Cu Kα).

Most intense lines, 2θ from 15° to 90°, by angle:
| 2θ (°) | intensity |
| --- | --- |
| 15.63 | 20 |
| 29.95 | 21 |
| 30.59 | 100 |
| 30.88 | 56 |
| 31.56 | 22 |
| 31.79 | 40 |
| 35.25 | 55 |
| 50.83 | 24 |
| 54.20 | 21 |
| 63.69 | 26 |

Atomic structure:
Unit cell a=8.918 b=8.918 c=8.918 alpha=137.65 beta=98.99 gamma=96.01
Fractional coordinates of all 12 atoms:
1 Ac 0.000 0.000 0.000
2 La 0.254 0.500 0.754
3 La 0.500 0.000 0.500
4 La 0.746 0.500 0.246
5 Tb 0.072 0.821 0.251
6 Tb 0.257 0.009 0.752
7 Tb 0.257 0.505 0.248
8 Tb 0.430 0.179 0.251
9 Tb 0.570 0.821 0.749
10 Tb 0.743 0.495 0.752
11 Tb 0.743 0.991 0.248
12 Tb 0.928 0.179 0.749